Entry 1:
For In2SbF2, a GGA-PBE-relaxed structure gives the computed powder X-ray diffraction pattern in this record (λ = 1.5418 Å (Cu Kα)).

Most intense lines, 10 to 90 degrees two-theta, by angle:
Position (°2θ), I/Imax, hkl
14.58, 42, 1 1 0
20.67, 24, 2 0 0
26.79, 50, 0 0 1
29.39, 100, 2 2 0
30.63, 29, 1 1 1
32.96, 24, 3 1 0
40.19, 85, 2 2 1
42.05, 29, 4 0 0
50.57, 52, 4 0 1
75.58, 27, 6 2 1

Structure:
```
In2SbF2
1.0
8.595 0.000 0.000
0.000 8.595 0.000
0.000 0.000 3.328
In Sb F
4 2 4
Direct
0.244 0.256 0.000 In
0.256 0.756 0.000 In
0.744 0.244 0.000 In
0.756 0.744 0.000 In
0.000 0.000 0.000 Sb
0.500 0.500 0.000 Sb
0.123 0.377 0.500 F
0.377 0.877 0.500 F
0.623 0.123 0.500 F
0.877 0.623 0.500 F
```

---

Entry 2:
For LiCaPmZn, a GGA-PBE-relaxed structure gives the computed powder X-ray diffraction pattern in this record (λ = 1.5418 Å (Cu Kα)).

Most intense lines, 10 to 90 degrees two-theta, by angle:
Position (°2θ), I/Imax, hkl
11.64, 89, 0 0 1
23.72, 23, 1 0 0
26.50, 30, 1 0 1
33.57, 100, 1 0 2
33.79, 52, 1 1 0
35.85, 25, 1 1 1
43.08, 24, 1 0 3
48.53, 18, 2 0 0
59.88, 15, 1 1 4
60.30, 35, 2 1 2

Structure:
```
LiCaPmZn
1.0
3.752 0.000 0.000
0.000 3.752 0.000
0.000 0.000 7.600
Li Ca Pm Zn
1 1 1 1
Direct
0.000 0.000 0.000 Li
0.500 0.500 0.725 Ca
0.500 0.500 0.265 Pm
0.000 0.000 0.479 Zn
```

---

Entry 3:
For Sr2AcZn6, a GGA-PBE-relaxed structure gives the computed powder X-ray diffraction pattern in this record (λ = 1.5418 Å (Cu Kα)).

Most intense lines, 10 to 90 degrees two-theta, by angle:
Position (°2θ), I/Imax, hkl
12.74, 17, 1 0 0
22.16, 10, 1 1 0
31.15, 100, 1 1 1
38.88, 50, 3 0 0
44.04, 12, 0 0 2
50.63, 25, 2 2 1
60.18, 27, 3 0 2
65.63, 23, 4 1 1
72.93, 8, 1 1 3
86.90, 10, 3 3 2

Structure:
```
Sr2AcZn6
1.0
8.023 0.000 0.000
-4.012 6.948 0.000
0.000 0.000 4.112
Sr Ac Zn
2 1 6
Direct
0.333 0.667 0.000 Sr
0.667 0.333 0.000 Sr
0.000 0.000 0.000 Ac
0.000 0.335 0.500 Zn
0.000 0.665 0.500 Zn
0.335 0.000 0.500 Zn
0.335 0.335 0.500 Zn
0.665 0.000 0.500 Zn
0.665 0.665 0.500 Zn
```

---

Entry 4:
For Cu3Ru, a GGA-PBE-relaxed structure gives the computed powder X-ray diffraction pattern in this record (λ = 1.5418 Å (Cu Kα)).

Most intense lines, 10 to 90 degrees two-theta, by angle:
Position (°2θ), I/Imax, hkl
42.27, 10, 1 1 0
42.43, 54, 0 2 0
43.11, 47, 1 0 1
43.43, 100, 0 1 2
44.65, 83, 1 1 -1
62.09, 30, 1 2 1
65.98, 12, 1 0 -3
78.35, 31, 0 3 2
79.19, 14, 1 3 -1
81.65, 13, 1 2 -3

Structure:
```
Cu3Ru
1.0
2.489 0.000 0.000
0.000 4.261 0.000
-0.559 0.000 4.778
Cu Ru
3 1
Direct
0.000 0.000 0.000 Cu
0.178 0.500 0.753 Cu
0.822 0.500 0.247 Cu
0.500 0.000 0.500 Ru
```

---

Entry 5:
For TeS7Br2, a GGA-PBE-relaxed structure gives the computed powder X-ray diffraction pattern in this record (λ = 1.5418 Å (Cu Kα)).

Most intense lines, 10 to 90 degrees two-theta, by angle:
Position (°2θ), I/Imax, hkl
11.26, 25, 0 1 1
14.14, 100, 1 1 1
17.10, 21, 2 0 0
21.51, 32, 1 2 1
23.33, 28, 2 1 2
24.21, 56, 1 2 2
27.42, 58, 2 1 3
31.97, 17, 2 2 3
37.81, 21, 0 4 0
42.70, 17, 3 1 5

Structure:
```
TeS7Br2
1.0
10.372 0.000 0.000
0.000 9.518 0.000
0.000 0.000 13.944
Te S Br
4 28 8
Direct
0.205 0.250 0.100 Te
0.295 0.750 0.600 Te
0.705 0.250 0.400 Te
0.795 0.750 0.900 Te
0.145 0.574 0.293 S
0.145 0.926 0.293 S
0.174 0.544 0.529 S
0.174 0.956 0.529 S
0.237 0.750 0.240 S
0.248 0.516 0.904 S
0.248 0.984 0.904 S
0.252 0.016 0.404 S
0.252 0.484 0.404 S
0.263 0.250 0.740 S
0.326 0.044 0.029 S
0.326 0.456 0.029 S
0.355 0.074 0.793 S
0.355 0.426 0.793 S
0.645 0.574 0.207 S
0.645 0.926 0.207 S
0.674 0.544 0.971 S
0.674 0.956 0.971 S
0.737 0.750 0.260 S
0.748 0.516 0.596 S
0.748 0.984 0.596 S
0.752 0.016 0.096 S
0.752 0.484 0.096 S
0.763 0.250 0.760 S
0.826 0.044 0.471 S
0.826 0.456 0.471 S
0.855 0.074 0.707 S
0.855 0.426 0.707 S
0.028 0.250 0.967 Br
0.084 0.750 0.715 Br
0.416 0.250 0.215 Br
0.472 0.750 0.467 Br
0.528 0.250 0.533 Br
0.584 0.750 0.785 Br
0.916 0.250 0.285 Br
0.972 0.750 0.033 Br
```

---

Entry 6:
For LiZn4Ru, a GGA-PBE-relaxed structure gives the computed powder X-ray diffraction pattern in this record (λ = 1.5418 Å (Cu Kα)).

Most intense lines, 10 to 90 degrees two-theta, by angle:
Position (°2θ), I/Imax, hkl
21.64, 9, 0 0 1
23.60, 16, 1 1 0
41.15, 100, 1 3 1
44.10, 21, 0 0 2
44.61, 20, 2 0 0
54.40, 10, 0 6 0
64.54, 13, 2 0 2
79.10, 13, 1 3 3
79.82, 13, 3 3 1
89.30, 10, 2 6 2

Structure:
```
LiZn4Ru
1.0
4.062 0.000 0.000
0.000 10.120 0.000
0.000 0.000 4.107
Li Zn Ru
2 8 2
Direct
0.000 0.000 0.000 Li
0.500 0.500 0.000 Li
0.000 0.166 0.500 Zn
0.000 0.344 0.000 Zn
0.000 0.656 0.000 Zn
0.000 0.834 0.500 Zn
0.500 0.156 0.000 Zn
0.500 0.334 0.500 Zn
0.500 0.666 0.500 Zn
0.500 0.844 0.000 Zn
0.000 0.500 0.500 Ru
0.500 0.000 0.500 Ru
```